Simulated powder XRD pattern
Compound: HfZr
Radiation: a wavelength of 1.5418 Å
Structure: a crystal structure in Alexandria, relaxed with PBE
Neutral-atom scattering factors, no anomalous dispersion.

Most intense lines, 2θ from 15° to 90°, in order of rising 2θ:
two_theta, d [Å], Rel. int.
17.07, 5.193, 12
32.94, 2.719, 5
34.54, 2.596, 100
39.94, 2.257, 34
40.41, 2.232, 16
57.77, 1.596, 11
58.12, 1.587, 22
69.08, 1.360, 26
69.72, 1.349, 13
72.86, 1.298, 11

```
8
Lattice="-3.192 3.192 4.464 3.192 -3.192 4.464 3.192 3.192 -4.464" Properties=species:S:1:pos:R:3 pbc="T T T"
Hf 0.000 0.000 0.000
Hf 1.596 1.596 -2.232
Hf 1.596 -1.596 2.232
Hf 0.000 3.192 0.000
Zr 3.192 0.000 0.000
Zr -1.596 1.596 2.232
Zr 0.000 0.000 4.464
Zr 1.596 1.596 2.232
```